Entry 1:
Th2BeAlPd6: computed powder diffractogram (Cu Ka), based on DFT lattice parameters and positions (PBE).
Intensities are scaled so that the largest is 100.

Most intense lines, 15° ≤ 2θ ≤ 90°, low angle first:
d (Å)	I (rel.)	h k l
4.491	33	1 0 1
3.213	99	0 0 2
3.106	20	1 1 -1
3.096	22	1 0 2
2.507	75	0 2 0
2.400	72	2 0 0
2.390	72	2 2 2
2.383	23	1 0 -2
2.373	21	1 1 3
2.246	100	2 2 0
2.228	20	1 2 -1
2.193	68	0 2 2

Structural model:
```
Th2BeAlPd6
1.0
5.7180 0.0000 0.0000
2.8459 5.1104 0.0000
2.8233 1.2636 6.4261
Th Be Al Pd
2 1 1 6
direct
0.2177 0.2574 0.3041 Th
0.7823 0.7426 0.6959 Th
0.0000 0.0000 0.0000 Be
0.5000 0.5000 0.5000 Al
0.2351 0.7928 0.2318 Pd
0.2500 0.6572 0.8480 Pd
0.2626 0.2056 0.7722 Pd
0.7374 0.7944 0.2278 Pd
0.7500 0.3428 0.1520 Pd
0.7649 0.2072 0.7682 Pd
```



Entry 2:
Be2AlPt: computed powder diffractogram (Cu Ka), based on DFT lattice parameters and positions (PBE).
Intensities are scaled so that the largest is 100.

Most intense lines, 15° ≤ 2θ ≤ 90°, low angle first:
d (Å)	I (rel.)	h k l
3.323	100	1 1 1
2.878	40	2 0 0
2.035	60	2 2 0
1.735	48	3 1 1
1.661	11	2 2 2
1.439	10	4 0 0
1.320	20	3 3 1
1.287	14	4 2 0
1.175	21	4 2 2
1.108	16	5 1 1

Structural model:
```
Be2AlPt
1.0
5.7555 0.0000 0.0000
0.0000 5.7555 0.0000
0.0000 0.0000 5.7555
Be Al Pt
8 4 4
direct
0.0000 0.0000 0.0000 Be
0.0000 0.5000 0.5000 Be
0.2500 0.2500 0.2500 Be
0.2500 0.7500 0.7500 Be
0.5000 0.0000 0.5000 Be
0.5000 0.5000 0.0000 Be
0.7500 0.2500 0.7500 Be
0.7500 0.7500 0.2500 Be
0.2500 0.2500 0.7500 Al
0.2500 0.7500 0.2500 Al
0.7500 0.2500 0.2500 Al
0.7500 0.7500 0.7500 Al
0.0000 0.0000 0.5000 Pt
0.0000 0.5000 0.0000 Pt
0.5000 0.0000 0.0000 Pt
0.5000 0.5000 0.5000 Pt
```



Entry 3:
BeAl2Re2: computed powder diffractogram (Cu Ka), based on DFT lattice parameters and positions (PBE).
Intensities are scaled so that the largest is 100.

Most intense lines, 15° ≤ 2θ ≤ 90°, low angle first:
d (Å)	I (rel.)	h k l
4.205	23	1 1 0
4.118	60	0 0 1
2.973	9	2 0 0
2.942	12	1 1 1
2.659	45	2 1 0
2.234	100	2 1 1
2.059	17	0 0 2
1.880	16	3 1 0
1.711	14	3 1 1
1.628	21	2 1 2
1.389	12	3 1 2
1.220	15	2 1 3

Structural model:
```
BeAl2Re2
1.0
5.9465 0.0000 0.0000
0.0000 5.9465 0.0000
0.0000 0.0000 4.1180
Be Al Re
2 4 4
direct
0.0000 0.0000 0.0000 Be
0.5000 0.5000 0.0000 Be
0.1625 0.3375 0.5000 Al
0.3375 0.8375 0.5000 Al
0.6625 0.1625 0.5000 Al
0.8375 0.6625 0.5000 Al
0.1495 0.6495 0.0000 Re
0.3505 0.1495 0.0000 Re
0.6495 0.8505 0.0000 Re
0.8505 0.3505 0.0000 Re
```



Entry 4:
BeAlSb: computed powder diffractogram (Cu Ka), based on DFT lattice parameters and positions (PBE).
Intensities are scaled so that the largest is 100.

Most intense lines, 15° ≤ 2θ ≤ 90°, low angle first:
d (Å)	I (rel.)	h k l
3.069	90	1 1 0
2.985	61	4 0 0
2.867	100	0 0 1
2.482	81	3 1 0
2.378	17	2 0 1
2.163	20	1 1 -1
2.036	48	1 1 1
2.031	47	3 1 -1
1.862	18	4 0 1
1.852	18	6 0 -1
1.503	17	7 1 0
1.389	21	0 2 1

Structural model:
```
BeAlSb
1.0
12.2856 0.0000 0.0000
0.0000 3.1752 0.0000
-0.6952 0.0000 2.8708
Be Al Sb
2 2 2
direct
0.0000 0.0000 0.0000 Be
0.5000 0.5000 0.0000 Be
0.3918 0.0000 0.3925 Al
0.8918 0.5000 0.3925 Al
0.1767 0.5000 0.1777 Sb
0.6767 0.0000 0.1777 Sb
```